For TbPb2Se4, a cell relaxed with GGA-PBE gives the theoretical PXRD pattern in this record (CuKα).

Structural model:
```
data_TbPb2Se4
_cell_length_a 4.121
_cell_length_b 14.239
_cell_length_c 13.783
_cell_angle_alpha 90.00
_cell_angle_beta 90.00
_cell_angle_gamma 90.00
_symmetry_space_group_name_H-M 'C m c m'
_symmetry_Int_Tables_number 63
_symmetry_space_group_name_Hall '-C 2c 2'
loop_
_atom_site_label
_atom_site_fract_x
_atom_site_fract_y
_atom_site_fract_z
Tb1 0.000 0.106 0.250
Pb1 0.000 0.366 0.064
Se1 0.000 0.000 0.000
Se2 0.000 0.289 0.638
Se3 0.000 0.465 0.250
```

Peak list (6 most intense, 2θ = 15–90°, most intense first)
| h k l | Position (°2θ) | I_rel |
| --- | --- | --- |
| 0 2 3 | 23.0 | 100 |
| 1 3 2 | 31.5 | 78 |
| 1 3 1 | 29.4 | 74 |
| 1 3 0 | 28.7 | 73 |
| 1 1 5 | 39.9 | 67 |
| 2 0 0 | 43.9 | 50 |